Computed X-ray diffraction stick pattern
Compound: Rb2PmMnF6
Radiation: λ = 1.5418 Å (Cu Kα)
Structure: the PBE+U geometry in Alexandria

Cell and atoms:
Cell lengths 6.8681, 8.3559, 7.2859 Å; angles 90.00, 90.00, 90.00 degrees
Fractional coordinates of all 20 atoms:
Rb 0.2500 0.0111 0.1397
Rb 0.2500 0.4889 0.1397
Rb 0.7500 0.5111 0.8603
Rb 0.7500 0.9889 0.8603
Pm 0.2500 0.2500 0.6692
Pm 0.7500 0.7500 0.3308
Mn 0.2500 0.7500 0.6083
Mn 0.7500 0.2500 0.3917
F 0.0325 0.2500 0.9031
F 0.0515 0.2500 0.4075
F 0.2500 0.5184 0.7262
F 0.2500 0.9816 0.7262
F 0.4485 0.2500 0.4075
F 0.4675 0.2500 0.9031
F 0.5325 0.7500 0.0969
F 0.5515 0.7500 0.5925
F 0.7500 0.0184 0.2738
F 0.7500 0.4816 0.2738
F 0.9485 0.7500 0.5925
F 0.9675 0.7500 0.0969

Most intense lines, 10° ≤ 2θ ≤ 90°, sorted by position:
2θ 16.7, intensity 36
2θ 24.6, intensity 51
2θ 25.9, intensity 56
2θ 27.7, intensity 92
2θ 27.8, intensity 100
2θ 36.0, intensity 48
2θ 43.3, intensity 26
2θ 46.9, intensity 56
2θ 51.0, intensity 27
2θ 52.2, intensity 29